This entry pairs a crystal structure of InNiAu5 with its calculated XRD peak list. Radiation: Cu Kα (λ = 1.5418 Å). Structure: a structure optimized by DFT (PBE).

The 10 most intense peaks (10° ≤ 2θ ≤ 80°), in order of rising 2θ:
two_theta	I/Imax
19.1	55
19.4	60
20.6	100
23.6	51
28.2	56
38.8	54
39.7	45
41.8	70
46.5	50
46.9	75

Cell and atoms:
abc: 7.5482 9.2914 5.2645
angles: 90.00 90.00 90.00
Space group Imm2 (No. 44)
One atom of each set of equivalent atoms:
1 In 0.0000 0.0000 0.0000 x2
2 Ni 0.0000 0.5000 0.7966 x2
3 Au 0.0000 0.0000 0.4900 x2
4 Au 0.0000 0.2870 0.5033 x4
5 Au 0.1805 0.5000 0.2265 x4

=====

This entry pairs a crystal structure of InNi2Au2 with its calculated XRD peak list. Radiation: Cu Kα (λ = 1.5418 Å). Structure: a structure optimized by DFT (PBE).

The 10 most intense peaks (10° ≤ 2θ ≤ 80°), in order of rising 2θ:
two_theta	I/Imax
29.0	54
31.3	24
34.4	12
40.5	34
40.7	24
42.4	18
43.2	100
52.0	12
60.0	13
75.5	19

Cell and atoms:
abc: 4.4586 5.7155 12.7923
angles: 90.00 90.00 90.00
Space group Imma (No. 74)
One atom of each set of equivalent atoms:
1 In 0.0000 0.2500 0.1355 x4
2 Ni 0.0000 0.0076 0.3187 x8
3 Au 0.0000 0.2500 0.5032 x4
4 Au 0.0000 0.2500 0.8540 x4

=====

This entry pairs a crystal structure of InAuO2 with its calculated XRD peak list. Radiation: Cu Kα (λ = 1.5418 Å). Structure: a structure optimized by DFT (PBE).

The 10 most intense peaks (10° ≤ 2θ ≤ 80°), in order of rising 2θ:
two_theta	I/Imax
28.4	53
31.5	98
33.9	100
37.6	36
47.8	30
53.9	32
54.5	35
60.6	15
62.6	36
65.7	15

Cell and atoms:
abc: 3.3697 3.3697 12.5523
angles: 90.00 90.00 120.00
Space group P6_3/mmc (No. 194)
One atom of each set of equivalent atoms:
1 In 0.0000 0.0000 0.0000 x2
2 Au 0.3333 0.6667 0.2500 x2
3 O 0.3333 0.6667 0.0843 x4

=====

This entry pairs a crystal structure of Pa2InAu3 with its calculated XRD peak list. Radiation: Cu Kα (λ = 1.5418 Å). Structure: a structure optimized by DFT (PBE).

The 10 most intense peaks (10° ≤ 2θ ≤ 80°), in order of rising 2θ:
two_theta	I/Imax
31.3	23
34.6	100
36.9	35
38.2	34
40.0	39
54.2	23
55.6	12
66.8	15
69.5	13
70.7	15

Cell and atoms:
abc: 3.3061 4.7100 17.9772
angles: 90.00 90.00 90.00
Space group Imm2 (No. 44)
One atom of each set of equivalent atoms:
1 Pa 0.0000 0.0000 0.0000 x2
2 Pa 0.0000 0.5000 0.2573 x2
3 In 0.0000 0.0000 0.5939 x2
4 Au 0.0000 0.0000 0.4402 x2
5 Au 0.0000 0.5000 0.6675 x2
6 Au 0.0000 0.5000 0.8199 x2

=====

This entry pairs a crystal structure of InPbAu5 with its calculated XRD peak list. Radiation: Cu Kα (λ = 1.5418 Å). Structure: a structure optimized by DFT (PBE).

The 10 most intense peaks (10° ≤ 2θ ≤ 80°), in order of rising 2θ:
two_theta	I/Imax
30.9	26
33.1	73
34.3	97
34.5	48
34.8	41
36.8	31
37.6	44
40.4	100
40.6	32
41.0	26

Cell and atoms:
abc: 9.0930 5.7968 11.3552
angles: 90.00 90.00 90.00
Space group Pnma (No. 62)
One atom of each set of equivalent atoms:
1 In 0.1527 0.2500 0.1560 x4
2 Pb 0.2485 0.7500 0.9535 x4
3 Au 0.0608 0.5104 0.6955 x8
4 Au 0.0801 0.2500 0.9203 x4
5 Au 0.1066 0.7500 0.4751 x4
6 Au 0.1819 0.7500 0.2206 x4

=====

This entry pairs a crystal structure of InPbAu with its calculated XRD peak list. Radiation: Cu Kα (λ = 1.5418 Å). Structure: a structure optimized by DFT (PBE).

The 10 most intense peaks (10° ≤ 2θ ≤ 80°), in order of rising 2θ:
two_theta	I/Imax
18.4	42
30.7	77
33.0	100
33.1	32
35.2	76
38.2	68
40.0	90
41.1	45
60.5	30
60.6	38

Cell and atoms:
abc: 5.7877 9.6263 10.8142
angles: 90.00 90.00 90.00
Space group Fmmm (No. 69)
One atom of each set of equivalent atoms:
1 In 0.0000 0.0000 0.1520 x8
2 Pb 0.0000 0.1647 0.5000 x8
3 Au 0.2500 0.2500 0.2500 x8

=====

This entry pairs a crystal structure of InPbAu with its calculated XRD peak list. Radiation: Cu Kα (λ = 1.5418 Å). Structure: a structure optimized by DFT (PBE).

The 10 most intense peaks (10° ≤ 2θ ≤ 80°), in order of rising 2θ:
two_theta	I/Imax
30.5	35
31.4	100
32.3	12
34.0	21
35.2	12
37.7	18
38.4	41
40.9	18
42.5	15
49.0	18

Cell and atoms:
abc: 3.7201 6.3235 6.8918
angles: 93.74 105.63 90.11
Space group P1 (No. 1)
One atom of each set of equivalent atoms:
1 In 0.0000 0.0000 0.0000 x1
2 In 0.2774 0.2466 0.5593 x1
3 Pb 0.3252 0.7489 0.6406 x1
4 Pb 0.6049 0.5094 0.2112 x1
5 Au 0.6601 0.9840 0.3230 x1
6 Au 0.9294 0.4211 0.8603 x1

=====

This entry pairs a crystal structure of InPbAu with its calculated XRD peak list. Radiation: Cu Kα (λ = 1.5418 Å). Structure: a structure optimized by DFT (PBE).

The 10 most intense peaks (10° ≤ 2θ ≤ 80°), in order of rising 2θ:
two_theta	I/Imax
20.8	6
30.5	100
38.8	54
48.2	25
50.1	26
58.7	7
63.5	11
65.1	24
70.2	10
77.0	13

Cell and atoms:
abc: 4.6436 4.6436 4.2776
angles: 90.00 90.00 120.00
Space group P3m1 (No. 156)
One atom of each set of equivalent atoms:
1 In 0.0000 0.0000 0.0000 x1
2 Pb 0.6667 0.3333 0.4570 x1
3 Au 0.3333 0.6667 0.7915 x1

=====

Q: Which formula does entry 5 have?
A: InPbAu5